(1)
Diffraction record for Cd4InTe4As. The powder X-ray diffraction pattern is computed, not measured: it uses a PBE-relaxed structure and CuKα.

Structural model:
Lattice parameters (Å, degrees): 15.5645 15.5645 15.5645 164.26 164.26 22.33
Fractional positions:
Cd  0.0926  0.0926  0.0000
Cd  0.2975  0.2975  0.0000
Cd  0.7025  0.7025  0.0000
Cd  0.9074  0.9074  0.0000
In  0.5000  0.5000  0.0000
Te  0.1981  0.1981  0.0000
Te  0.3990  0.3990  0.0000
Te  0.6010  0.6010  0.0000
Te  0.8019  0.8019  0.0000
As  0.0000  0.0000  0.0000

The 10 most intense peaks (2θ from 10° to 90°), low angle first:
Position (°2θ)  I_rel
29.24  51
29.64  100
42.13  72
42.42  37
52.35  38
61.55  12
68.94  14
69.57  16
69.78  16
77.40  23


(2)
Diffraction record for SrMnHS2. The powder X-ray diffraction pattern is computed, not measured: it uses a PBE-relaxed structure and CuKα.

Structural model:
Lattice parameters (Å, degrees): 4.8279 4.8279 3.7943 90.00 90.00 90.00
Fractional positions:
Sr  0.0000  0.0000  0.0000
Mn  0.5000  0.5000  0.5000
H  0.5000  0.5000  0.0000
S  0.0000  0.5000  0.5000
S  0.5000  0.0000  0.5000

The 10 most intense peaks (2θ from 10° to 90°), low angle first:
Position (°2θ)  I_rel
26.10  21
29.95  100
35.37  31
37.25  60
47.95  14
48.51  50
53.70  19
62.24  24
74.82  14
75.26  13


(3)
Diffraction record for Sr2SbPbO6. The powder X-ray diffraction pattern is computed, not measured: it uses a PBE-relaxed structure and CuKα.

Structural model:
Lattice parameters (Å, degrees): 5.9259 5.9259 5.9259 61.23 61.23 61.23
Fractional positions:
Sr  0.2416  0.2416  0.2416
Sr  0.7584  0.7584  0.7584
Sb  0.0000  0.0000  0.0000
Pb  0.5000  0.5000  0.5000
O  0.1487  0.7796  0.3159
O  0.2204  0.6841  0.8513
O  0.3159  0.1487  0.7796
O  0.6841  0.8513  0.2204
O  0.7796  0.3159  0.1487
O  0.8513  0.2204  0.6841

The 10 most intense peaks (2θ from 10° to 90°), low angle first:
Position (°2θ)  I_rel
21.01  33
29.60  100
30.17  100
42.78  54
52.52  26
52.88  44
53.95  19
62.74  16
69.97  18
70.88  18